The following is a calculated powder X-ray diffraction pattern of Na2ScTiP3O12. It was derived from a crystal structure in the Materials Project, relaxed with PBE, using Cu Ka.
Lines closer than 0.1° are merged.

Main lines, low angle first (10 to 90 degrees two-theta):
hkl 2 0 0, 2θ 13.98, I 34; hkl 1 1 1, 2θ 19.63, I 42; hkl 3 1 -1, 2θ 20.07, I 22; hkl 3 1 -2, 2θ 23.36, I 100; hkl 0 2 1, 2θ 23.47, I 48; hkl 2 2 -2, 2θ 28.31, I 27; hkl 4 2 -1, 2θ 31.16, I 22; hkl 3 1 -3, 2θ 31.32, I 90; hkl 0 2 2, 2θ 31.41, I 31; hkl 3 3 -1, 2θ 35.29, I 29

Atomic structure:
```
data_Na2ScTiP3O12
_chemical_formula_sum 'Na8 Sc4 Ti4 P12 O48'
_cell_length_a 15.356
_cell_length_b 8.792
_cell_length_c 9.051
_cell_angle_alpha 90.00
_cell_angle_beta 124.27
_cell_angle_gamma 90.00
_space_group_name_H-M_alt 'C 1 c 1'
_space_group_IT_number 9
_space_group_name_Hall 'C -2yc'
loop_
_atom_site_label
_atom_site_fract_x
_atom_site_fract_y
_atom_site_fract_z
Na1 0.000 0.113 0.000
Na2 0.248 0.251 0.248
Sc1 0.105 0.254 0.809
Ti1 0.393 0.244 0.695
P1 0.144 0.109 0.497
P2 0.355 0.397 0.006
P3 0.496 0.042 0.502
O1 0.043 0.179 0.326
O2 0.065 0.445 0.666
O3 0.068 0.350 0.981
O4 0.140 0.133 0.660
O5 0.147 0.064 0.979
O6 0.244 0.185 0.522
O7 0.257 0.329 0.983
O8 0.355 0.425 0.517
O9 0.363 0.363 0.841
O10 0.418 0.143 0.516
O11 0.429 0.065 0.833
O12 0.452 0.333 0.176
```


The following is a calculated powder X-ray diffraction pattern of Na4ScZnP3O12. It was derived from a crystal structure in the Materials Project, relaxed with PBE, using Cu Ka.
Lines closer than 0.1° are merged.

Main lines, low angle first (10 to 90 degrees two-theta):
hkl 0 1 2, 2θ 13.82, I 17; hkl 1 0 4, 2θ 19.74, I 32; hkl 1 1 3, 2θ 22.99, I 37; hkl 0 2 4, 2θ 27.85, I 15; hkl 2 1 1, 2θ 30.19, I 22; hkl 1 1 6, 2θ 31.40, I 100; hkl 3 0 0, 2θ 34.02, I 57; hkl 2 2 6, 2θ 46.98, I 39; hkl 4 1 6, 2θ 59.26, I 24; hkl 0 3 12, 2θ 61.89, I 15

Atomic structure:
```
data_Na4ScZnP3O12
_chemical_formula_sum 'Na24 Sc6 Zn6 P18 O72'
_cell_length_a 9.1276
_cell_length_b 9.1276
_cell_length_c 21.8758
_cell_angle_alpha 90.00
_cell_angle_beta 90.00
_cell_angle_gamma 120.00
_space_group_name_H-M_alt 'R 3 c'
_space_group_IT_number 161
_space_group_name_Hall 'R 3 -2"c'
loop_
_atom_site_label
_atom_site_fract_x
_atom_site_fract_y
_atom_site_fract_z
Na1 0.0000 0.0000 0.0000
Na2 0.0395 0.3442 0.0855
Sc1 0.0000 0.0000 0.1551
Zn1 0.0000 0.0000 0.3488
P1 0.0342 0.3669 0.9231
O1 0.0116 0.1880 0.9183
O2 0.0233 0.2111 0.1995
O3 0.1400 0.4483 0.9808
O4 0.1632 0.4769 0.2590
```


What did the first record say?
The following is a calculated powder X-ray diffraction pattern of Na2ScTiP3O12. It was derived from a crystal structure in the Materials Project, relaxed with PBE, using Cu Ka.
Lines closer than 0.1° are merged.

Main lines, low angle first (10 to 90 degrees two-theta):
hkl 2 0 0, 2θ 13.98, I 34; hkl 1 1 1, 2θ 19.63, I 42; hkl 3 1 -1, 2θ 20.07, I 22; hkl 3 1 -2, 2θ 23.36, I 100; hkl 0 2 1, 2θ 23.47, I 48; hkl 2 2 -2, 2θ 28.31, I 27; hkl 4 2 -1, 2θ 31.16, I 22; hkl 3 1 -3, 2θ 31.32, I 90; hkl 0 2 2, 2θ 31.41, I 31; hkl 3 3 -1, 2θ 35.29, I 29

Atomic structure:
```
data_Na2ScTiP3O12
_chemical_formula_sum 'Na8 Sc4 Ti4 P12 O48'
_cell_length_a 15.356
_cell_length_b 8.792
_cell_length_c 9.051
_cell_angle_alpha 90.00
_cell_angle_beta 124.27
_cell_angle_gamma 90.00
_space_group_name_H-M_alt 'C 1 c 1'
_space_group_IT_number 9
_space_group_name_Hall 'C -2yc'
loop_
_atom_site_label
_atom_site_fract_x
_atom_site_fract_y
_atom_site_fract_z
Na1 0.000 0.113 0.000
Na2 0.248 0.251 0.248
Sc1 0.105 0.254 0.809
Ti1 0.393 0.244 0.695
P1 0.144 0.109 0.497
P2 0.355 0.397 0.006
P3 0.496 0.042 0.502
O1 0.043 0.179 0.326
O2 0.065 0.445 0.666
O3 0.068 0.350 0.981
O4 0.140 0.133 0.660
O5 0.147 0.064 0.979
O6 0.244 0.185 0.522
O7 0.257 0.329 0.983
O8 0.355 0.425 0.517
O9 0.363 0.363 0.841
O10 0.418 0.143 0.516
O11 0.429 0.065 0.833
O12 0.452 0.333 0.176
```


Please write out number 1 again, unchanged.
The following is a calculated powder X-ray diffraction pattern of Na2ScTiP3O12. It was derived from a crystal structure in the Materials Project, relaxed with PBE, using Cu Ka.
Lines closer than 0.1° are merged.

Main lines, low angle first (10 to 90 degrees two-theta):
hkl 2 0 0, 2θ 13.98, I 34; hkl 1 1 1, 2θ 19.63, I 42; hkl 3 1 -1, 2θ 20.07, I 22; hkl 3 1 -2, 2θ 23.36, I 100; hkl 0 2 1, 2θ 23.47, I 48; hkl 2 2 -2, 2θ 28.31, I 27; hkl 4 2 -1, 2θ 31.16, I 22; hkl 3 1 -3, 2θ 31.32, I 90; hkl 0 2 2, 2θ 31.41, I 31; hkl 3 3 -1, 2θ 35.29, I 29

Atomic structure:
```
data_Na2ScTiP3O12
_chemical_formula_sum 'Na8 Sc4 Ti4 P12 O48'
_cell_length_a 15.356
_cell_length_b 8.792
_cell_length_c 9.051
_cell_angle_alpha 90.00
_cell_angle_beta 124.27
_cell_angle_gamma 90.00
_space_group_name_H-M_alt 'C 1 c 1'
_space_group_IT_number 9
_space_group_name_Hall 'C -2yc'
loop_
_atom_site_label
_atom_site_fract_x
_atom_site_fract_y
_atom_site_fract_z
Na1 0.000 0.113 0.000
Na2 0.248 0.251 0.248
Sc1 0.105 0.254 0.809
Ti1 0.393 0.244 0.695
P1 0.144 0.109 0.497
P2 0.355 0.397 0.006
P3 0.496 0.042 0.502
O1 0.043 0.179 0.326
O2 0.065 0.445 0.666
O3 0.068 0.350 0.981
O4 0.140 0.133 0.660
O5 0.147 0.064 0.979
O6 0.244 0.185 0.522
O7 0.257 0.329 0.983
O8 0.355 0.425 0.517
O9 0.363 0.363 0.841
O10 0.418 0.143 0.516
O11 0.429 0.065 0.833
O12 0.452 0.333 0.176
```